Computed powder X-ray diffraction pattern of LiGaCu2 for Cu Kα, from the PBE geometry in OQMD.
Kinematic intensities with the Lorentz-polarization factor, no thermal factor.

The 10 most intense peaks (2θ = 10–90°), in order of rising 2θ:
Position (°2θ)	d/Å	I_rel	h k l
23.66	3.760	72	0 0 2
27.42	3.252	44	1 0 1
34.45	2.603	13	1 0 2
43.45	2.083	100	1 1 0
43.99	2.059	63	1 0 3
50.07	1.822	55	1 1 2
55.08	1.667	21	1 0 4
63.55	1.464	19	2 0 3
79.76	1.202	15	3 0 0
80.13	1.198	19	2 1 3

Structural model:
a = 4.1651 Å, b = 4.1651 Å, c = 7.5207 Å
α = 90.00°, β = 90.00°, γ = 120.00°
Space group P6_3/mmc (No. 194)
Symmetry-distinct sites (fractional):
Li (0.3333, 0.6667, 0.2500) (multiplicity 2)
Ga (0.0000, 0.0000, 0.0000) (multiplicity 2)
Cu (0.3333, 0.6667, 0.5812) (multiplicity 4)

***

Computed powder X-ray diffraction pattern of NdSiPd3 for Cu Kα, from the PBE geometry in OQMD.
Kinematic intensities with the Lorentz-polarization factor, no thermal factor.

The 10 most intense peaks (2θ = 10–90°), in order of rising 2θ:
Position (°2θ)	d/Å	I_rel	h k l
27.13	3.287	13	1 0 1
32.85	2.726	16	0 0 2
34.92	2.569	100	1 1 1
39.64	2.274	23	1 0 2
43.96	2.060	36	2 0 0
55.95	1.643	14	2 0 2
60.67	1.526	13	2 1 2
63.93	1.456	12	2 2 0
73.14	1.294	11	2 1 3
74.96	1.267	21	3 1 1

Structural model:
a = 4.1191 Å, b = 4.1191 Å, c = 5.4530 Å
α = 90.00°, β = 90.00°, γ = 90.00°
Space group P4mm (No. 99)
Symmetry-distinct sites (fractional):
Nd (0.0000, 0.0000, 0.0000) (multiplicity 1)
Si (0.5000, 0.5000, 0.7296) (multiplicity 1)
Pd (0.0000, 0.5000, 0.5046) (multiplicity 2)
Pd (0.5000, 0.5000, 0.1589) (multiplicity 1)

***

Computed powder X-ray diffraction pattern of Ga2CuSe4 for Cu Kα, from the PBE geometry in OQMD.
Kinematic intensities with the Lorentz-polarization factor, no thermal factor.

The 10 most intense peaks (2θ = 10–90°), in order of rising 2θ:
Position (°2θ)	d/Å	I_rel	h k l
28.19	3.166	100	1 1 2
38.43	2.342	6	2 1 1
46.22	1.964	47	2 0 4
48.12	1.891	21	2 2 0
53.30	1.719	15	1 1 6
56.70	1.623	25	3 1 2
70.42	1.337	6	4 0 0
74.62	1.272	11	3 1 6
84.26	1.149	7	2 2 8
88.45	1.105	13	4 2 4

Structural model:
a = 5.3486 Å, b = 5.3486 Å, c = 11.5770 Å
α = 90.00°, β = 90.00°, γ = 90.00°
Space group I-42m (No. 121)
Symmetry-distinct sites (fractional):
Ga (0.0000, 0.5000, 0.2500) (multiplicity 4)
Cu (0.0000, 0.0000, 0.0000) (multiplicity 2)
Se (0.2336, 0.2336, 0.3833) (multiplicity 8)